Diffraction record for Sm3InAg4. The powder XRD pattern is calculated, not measured: it uses DFT lattice parameters and positions (GGA-PBE) and Cu Kα (λ = 1.5418 Å).
Intensities are scaled so that the largest is 100.

The 10 most intense peaks (2θ = 5–70°), sorted by position:
2theta	d [Å]	I (rel.)
30.4	2.938	94
34.2	2.619	100
35.2	2.550	35
38.2	2.353	24
39.3	2.292	26
40.8	2.212	22
41.5	2.177	27
51.0	1.790	23
59.8	1.546	19
63.3	1.469	32

Structure:
abc: 3.5480 6.3838 18.3366
angles: 90.00 90.00 90.00
Space group Immm (No. 71)
Symmetry-distinct sites (fractional):
Sm 0.0000 0.0000 0.0000
Sm 0.0000 0.5000 0.2256
In 0.0000 0.0000 0.5000
Ag 0.0000 0.2762 0.3764